# TlHg3Au2
Theoretical powder diffractogram, a wavelength of 1.5418 Å. Input: a PBE-relaxed structure.

Most intense lines, 2θ = 5–70°, in order of rising 2θ:
2θ = 22.2°, intensity 31; 2θ = 26.1°, intensity 26; 2θ = 36.5°, intensity 100; 2θ = 38.0°, intensity 87; 2θ = 53.7°, intensity 33; 2θ = 66.6°, intensity 34

Structural model:
```
12
Lattice="4.9283 2.8454 3.7994 -4.9283 2.8454 3.7994 0.0000 -5.6908 3.7994" Properties=species:S:1:pos:R:3 pbc="T T T"
Tl 0.0000 0.0000 2.7670
Tl 0.0000 0.0000 8.6312
Hg -2.4553 -1.4176 6.5574
Hg 0.0000 -2.8351 4.8408
Hg -2.4553 1.4176 4.8408
Hg 2.4553 -1.4176 6.5574
Hg 0.0000 2.8351 6.5574
Hg 2.4553 1.4176 4.8408
Au -4.9283 0.0000 5.6991
Au -2.4642 1.4227 1.8997
Au 2.4642 1.4227 1.8997
Au 0.0000 0.0000 5.6991
```

***

# ScMoPCl2
Theoretical powder diffractogram, a wavelength of 1.5418 Å. Input: a PBE-relaxed structure.

Most intense lines, 2θ = 5–70°, in order of rising 2θ:
2θ = 24.9°, intensity 92; 2θ = 31.3°, intensity 100; 2θ = 33.0°, intensity 53; 2θ = 37.9°, intensity 71; 2θ = 45.9°, intensity 34; 2θ = 51.1°, intensity 56

Structural model:
```
5
Lattice="4.7517 0.0000 0.0000 0.0000 4.7517 0.0000 0.0000 0.0000 5.4219" Properties=species:S:1:pos:R:3 pbc="T T T"
Sc 0.0000 0.0000 0.0000
Mo 2.3758 2.3758 2.7109
P 0.0000 0.0000 2.7109
Cl 0.0000 2.3758 0.0000
Cl 2.3758 0.0000 0.0000
```

***

# Tb4Tl2Cd3
Theoretical powder diffractogram, a wavelength of 1.5418 Å. Input: a PBE-relaxed structure.

Most intense lines, 2θ = 5–70°, in order of rising 2θ:
2θ = 32.8°, intensity 100; 2θ = 34.5°, intensity 92; 2θ = 48.3°, intensity 34; 2θ = 57.6°, intensity 18; 2θ = 60.7°, intensity 34; 2θ = 61.7°, intensity 17

Structural model:
```
9
Lattice="4.5069 -2.6045 0.0000 4.5069 2.6045 0.0000 -0.0116 0.0000 10.2721" Properties=species:S:1:pos:R:3 pbc="T T T"
Tb -0.0018 0.0000 1.7532
Tb 9.0040 0.0000 8.5189
Tb 3.0007 0.0000 3.9336
Tb 6.0015 0.0000 6.3386
Tl 2.9949 0.0000 7.2614
Tl 6.0073 0.0000 3.0107
Cd -0.0058 0.0000 5.1361
Cd 3.0036 0.0000 0.3178
Cd 5.9986 0.0000 9.9543
```